# CdBi3O7
Computed powder XRD pattern, Cu Kα (λ = 1.5418 Å). Input: a DFT-relaxed cell (PBE, the Materials Project).
Neutral-atom scattering factors, no anomalous dispersion.

Most intense lines, 2θ = 15–90°, low angle first:
d_spacing  I/Imax
3.258  50
3.202  100
3.043  47
2.767  62
2.712  21
1.989  23
1.984  20
1.888  29
1.685  19
1.662  16

Cell and atoms:
```
CdBi3O7
1.0
3.2218 -1.9837 0.0000
3.2218 1.9837 0.0000
-1.9137 0.0000 13.0312
Cd Bi O
1 3 7
Cartesian
0.0000 0.0000 0.0000
0.3888 0.0000 9.7421
2.4231 0.0000 6.6193
4.1055 0.0000 2.8557
0.3150 0.0000 7.4574
1.8767 0.0000 2.1450
2.3293 0.0000 4.4885
2.5724 0.0000 8.9127
4.2007 0.0000 0.5148
4.5894 0.0000 6.2322
4.6632 0.0000 10.7764
```